Record 1
Computed powder X-ray diffraction pattern
Compound: ScPIr2
Radiation: Cu Kα
Structure: a structure optimized by DFT (GGA-PBE)

Main lines, by angle (10 to 80 degrees two-theta):
two_theta, Rel. int.
23.9, 81
27.7, 84
32.1, 45
36.9, 92
40.4, 100
42.9, 61
49.7, 69
67.1, 43

```
ScPIr2
1.0
3.2178 0.0000 0.0000
0.0000 3.7231 0.0000
0.0000 0.0000 5.5703
Sc P Ir
1 1 2
Direct
0.0000 0.0000 0.0000
0.5000 0.0000 0.5000
0.5000 0.5000 0.2507
0.5000 0.5000 0.7493
```


Record 2
Computed powder X-ray diffraction pattern
Compound: ScP2Ir3
Radiation: Cu Kα
Structure: a structure optimized by DFT (GGA-PBE)

Main lines, by angle (10 to 80 degrees two-theta):
two_theta, Rel. int.
17.4, 45
28.3, 27
32.6, 41
36.8, 100
38.4, 48
41.6, 27
45.0, 26
47.3, 36

```
ScP2Ir3
1.0
7.9012 -1.9220 0.0000
7.9012 1.9220 0.0000
-2.8988 0.0000 9.0885
Sc P Ir
3 6 9
Direct
0.0000 0.0000 0.0000
0.1529 0.1529 0.6898
0.8471 0.8471 0.3102
0.1973 0.1973 0.1314
0.3639 0.3639 0.5455
0.4554 0.4554 0.2205
0.5446 0.5446 0.7795
0.6361 0.6361 0.4545
0.8027 0.8027 0.8686
0.0344 0.0344 0.3128
0.2245 0.2245 0.3910
0.3217 0.3217 0.0539
0.3757 0.3757 0.7974
0.5000 0.5000 0.5000
0.6243 0.6243 0.2026
0.6783 0.6783 0.9461
0.7755 0.7755 0.6090
0.9656 0.9656 0.6872
```


Record 3
Computed powder X-ray diffraction pattern
Compound: Th2ScP3Ir4
Radiation: Cu Kα
Structure: a structure optimized by DFT (GGA-PBE)

Main lines, by angle (10 to 80 degrees two-theta):
two_theta, Rel. int.
27.4, 28
32.4, 21
33.1, 33
35.5, 100
44.9, 44
47.2, 27
67.2, 19
76.7, 22

```
Th2ScP3Ir4
1.0
4.0362 0.0000 0.0000
0.0000 4.0362 0.0000
0.0000 0.0000 10.9564
Th Sc P Ir
2 1 3 4
Direct
0.0000 0.5000 0.2318
0.5000 0.0000 0.7682
0.0000 0.0000 0.5000
0.0000 0.5000 0.8707
0.5000 0.0000 0.1293
0.5000 0.5000 0.5000
0.0000 0.0000 0.0000
0.0000 0.5000 0.6551
0.5000 0.0000 0.3449
0.5000 0.5000 0.0000
```


Record 4
Computed powder X-ray diffraction pattern
Compound: ScUP2Ir5
Radiation: Cu Kα
Structure: a structure optimized by DFT (GGA-PBE)

Main lines, by angle (10 to 80 degrees two-theta):
two_theta, Rel. int.
25.4, 82
32.6, 75
35.9, 100
45.1, 53
47.1, 20
52.5, 47
54.3, 44
77.2, 23

```
ScUP2Ir5
1.0
4.0197 0.0000 0.0000
0.0000 4.0197 0.0000
0.0000 0.0000 10.5020
Sc U P Ir
1 1 2 5
Direct
0.0000 0.0000 0.0000
0.0000 0.0000 0.5000
0.5000 0.5000 0.2819
0.5000 0.5000 0.7181
0.0000 0.5000 0.1827
0.0000 0.5000 0.8173
0.5000 0.0000 0.1827
0.5000 0.0000 0.8173
0.5000 0.5000 0.5000
```